Record 1
For NaZr2Tc2, a GGA-PBE-relaxed structure gives the theoretical X-ray diffraction stick pattern in this record (Cu Kα, 1.54184 Å).
Lines closer than 0.1° are merged.

Most intense lines, 10° ≤ 2θ ≤ 90°, low angle first:
d_spacing	intensity
5.553	39
2.483	38
2.376	100
1.963	16
1.851	12
1.805	12
1.640	7
1.613	7
1.353	10
1.329	23
1.246	7
1.199	6

Crystal structure
```
NaZr2Tc2
1.0
7.853 0.000 0.000
0.000 7.853 0.000
0.000 0.000 3.225
Na Zr Tc
2 4 4
Direct
0.000 0.000 0.000
0.500 0.500 0.000
0.149 0.351 0.500
0.351 0.851 0.500
0.649 0.149 0.500
0.851 0.649 0.500
0.139 0.639 0.000
0.361 0.139 0.000
0.639 0.861 0.000
0.861 0.361 0.000
```


Record 2
For YOs7, a GGA-PBE-relaxed structure gives the theoretical X-ray diffraction stick pattern in this record (Cu Kα, 1.54184 Å).
Lines closer than 0.1° are merged.

Most intense lines, 10° ≤ 2θ ≤ 90°, low angle first:
d_spacing	intensity
4.555	3
3.945	1
2.789	1
2.379	2
2.277	100
1.972	49
1.810	1
1.764	1
1.518	1
1.395	32
1.189	39
1.139	11

Crystal structure
```
YOs7
1.0
0.000 3.945 3.945
3.945 0.000 3.945
3.945 3.945 0.000
Y Os
1 7
Direct
0.000 0.000 0.000
0.000 0.000 0.500
0.000 0.500 0.000
0.000 0.500 0.500
0.500 0.000 0.000
0.500 0.000 0.500
0.500 0.500 0.000
0.500 0.500 0.500
```


Record 3
For SmTiNbBi2O9, a GGA-PBE-relaxed structure gives the theoretical X-ray diffraction stick pattern in this record (Cu Kα, 1.54184 Å).
Lines closer than 0.1° are merged.

Most intense lines, 10° ≤ 2θ ≤ 90°, low angle first:
d_spacing	intensity
6.356	27
3.838	18
3.095	99
3.078	100
2.764	33
2.729	33
2.542	25
1.942	30
1.870	35
1.853	15
1.640	15
1.632	16

Crystal structure
```
SmTiNbBi2O9
1.0
5.457 0.000 0.000
0.000 5.527 0.000
-2.626 0.000 12.712
Sm Ti Nb Bi O
2 2 2 4 18
Direct
0.242 0.000 0.000
0.758 0.500 0.000
0.334 0.532 0.168
0.666 0.032 0.832
0.178 0.537 0.832
0.822 0.037 0.168
0.021 0.953 0.601
0.425 0.944 0.397
0.575 0.444 0.603
0.979 0.453 0.399
0.018 0.544 0.689
0.020 0.775 0.119
0.097 0.276 0.120
0.240 0.723 0.501
0.262 0.223 0.501
0.320 0.551 0.306
0.337 0.580 0.000
0.363 0.860 0.828
0.475 0.356 0.828
0.525 0.856 0.172
0.637 0.360 0.172
0.663 0.080 0.000
0.680 0.051 0.694
0.738 0.723 0.499
0.760 0.223 0.499
0.903 0.776 0.880
0.980 0.275 0.881
0.982 0.044 0.311
```